Starting from a cell relaxed with GGA-PBE, the powder diffractogram of ZnSnS3O12 was computed for λ = 1.5418 Å (Cu Kα).
Neutral-atom scattering factors, no anomalous dispersion.

Atomic structure:
Cell: 8.7297 8.7297 22.5769 Å, 90.00 90.00 120.00°
Space group R3c (No. 161, hexagonal axes)
Inequivalent atoms, fractional coordinates:
Zn: 0.0000 0.0000 0.0000 x6
Sn: 0.0000 0.0000 0.2937 x6
S: 0.0434 0.3732 0.0643 x18
O: 0.0225 0.1996 0.0547 x18
O: 0.0380 0.2171 0.3424 x18
O: 0.1523 0.4561 0.1161 x18
O: 0.1620 0.4694 0.4030 x18

Most intense lines, 2θ = 15–90°, most intense first:
2θ (°)  Rel. int.
19.63  100
23.56  99
31.39  76
28.42  71
20.35  61
35.63  36
51.59  32
35.20  29
48.20  28
55.72  25
46.18  19
60.23  18


Starting from a cell relaxed with GGA-PBE, the powder diffractogram of Sr4S3O was computed for λ = 1.5418 Å (Cu Kα).
Neutral-atom scattering factors, no anomalous dispersion.

Atomic structure:
Cell: 5.9030 5.9030 5.9030 Å, 90.00 90.00 90.00°
Space group Pm-3m (No. 221)
Inequivalent atoms, fractional coordinates:
Sr: 0.0000 0.0000 0.0000 x1
Sr: 0.0000 0.5000 0.5000 x3
S: 0.0000 0.0000 0.5000 x3
O: 0.5000 0.5000 0.5000 x1

Most intense lines, 2θ = 15–90°, most intense first:
2θ (°)  Rel. int.
30.28  100
43.36  71
26.15  47
71.47  31
53.80  25
51.33  24
79.55  23
62.99  11
69.40  10
85.47  8
15.01  1
21.29  1


Starting from a cell relaxed with GGA-PBE, the powder diffractogram of SrS2O6 was computed for λ = 1.5418 Å (Cu Kα).
Neutral-atom scattering factors, no anomalous dispersion.

Atomic structure:
Cell: 5.4050 8.0190 8.4756 Å, 72.55 83.28 73.68°
Space group P-1 (No. 2)
Inequivalent atoms, fractional coordinates:
Sr: 0.1663 0.2171 0.0146 x2
S: 0.1841 0.0065 0.4529 x2
S: 0.2602 0.8172 0.2912 x2
O: 0.0250 0.8913 0.1868 x2
O: 0.0941 0.4638 0.4620 x2
O: 0.1634 0.5542 0.8564 x2
O: 0.3882 0.6124 0.8229 x2
O: 0.3959 0.7215 0.9154 x2
O: 0.4781 0.8852 0.1875 x2

Most intense lines, 2θ = 15–90°, most intense first:
2θ (°)  Rel. int.
29.26  100
19.08  58
24.66  57
35.32  43
27.50  42
30.31  36
25.36  33
24.90  31
41.98  31
21.98  29
47.79  28
33.54  27